# Cs2RbMg2F7
Computed X-ray diffraction stick pattern, λ = 1.5418 Å (Cu Kα). Input: a structure optimized by DFT (GGA-PBE).
Intensities are scaled so that the largest is 100.

Most intense lines, 15° ≤ 2θ ≤ 90°, in order of rising 2θ:
| 2theta | Rel. int. |
| --- | --- |
| 21.55 | 23 |
| 22.84 | 22 |
| 24.12 | 28 |
| 28.62 | 100 |
| 30.16 | 63 |
| 38.17 | 66 |
| 43.18 | 46 |
| 48.03 | 14 |
| 52.63 | 37 |
| 75.85 | 15 |

Crystal structure
a b c (Å): 12.049 12.049 12.049
angles (deg): 159.97 159.97 28.47
Fractional positions:
Cs1 0.184 0.184 0.000
Cs2 0.816 0.816 0.000
Rb1 0.000 0.000 0.000
Mg1 0.413 0.413 0.000
Mg2 0.587 0.587 0.000
F1 0.088 0.588 0.500
F2 0.326 0.326 0.000
F3 0.412 0.912 0.500
F4 0.500 0.500 0.000
F5 0.588 0.088 0.500
F6 0.674 0.674 0.000
F7 0.912 0.412 0.500